1.
Starting from a PBE-relaxed structure, the powder diffraction line list of Sm5DyErTm2 was computed for Cu Kα (weighted mean of Kα1 and Kα2).

Structural model:
```
data_Sm5DyErTm2
_chemical_formula_sum 'Sm10 Dy2 Er2 Tm4'
_cell_length_a 10.4432
_cell_length_b 10.4432
_cell_length_c 10.6270
_cell_angle_alpha 90.00
_cell_angle_beta 90.00
_cell_angle_gamma 148.92
_symmetry_space_group_name_H-M 'P 1'
_symmetry_Int_Tables_number 1
loop_
_symmetry_equiv_pos_as_xyz
'x,y,z'
loop_
_atom_site_label
_atom_site_type_symbol
_atom_site_fract_x
_atom_site_fract_y
_atom_site_fract_z
Sm1 Sm 0.0166 0.9834 0.5000
Sm2 Sm 0.2804 0.7196 0.7917
Sm3 Sm 0.2990 0.7010 0.1876
Sm4 Sm 0.3871 0.6129 0.5027
Sm5 Sm 0.4816 0.5184 0.2223
Sm6 Sm 0.5184 0.4816 0.7223
Sm7 Sm 0.6129 0.3871 0.0027
Sm8 Sm 0.7010 0.2990 0.6876
Sm9 Sm 0.7196 0.2804 0.2917
Sm10 Sm 0.9834 0.0166 0.0000
Dy1 Dy 0.1989 0.8011 0.4916
Dy2 Dy 0.8011 0.1989 0.9916
Er1 Er 0.4100 0.5900 0.9403
Er2 Er 0.5900 0.4100 0.4403
Tm1 Tm 0.1112 0.8888 0.2198
Tm2 Tm 0.1140 0.8860 0.7923
Tm3 Tm 0.8860 0.1140 0.2923
Tm4 Tm 0.8888 0.1112 0.7198
```

Most intense lines, 2θ = 10–90°, in order of falling intensity:
| two_theta | intensity |
| --- | --- |
| 32.2 | 100 |
| 32.0 | 37 |
| 30.2 | 32 |
| 57.1 | 20 |
| 27.9 | 14 |
| 33.7 | 13 |
| 61.4 | 11 |
| 59.2 | 11 |
| 47.2 | 10 |
| 50.9 | 10 |


2.
Starting from a PBE-relaxed structure, the powder diffraction line list of TlBi2S was computed for Cu Kα (weighted mean of Kα1 and Kα2).

Structural model:
```
data_TlBi2S
_chemical_formula_sum 'Tl4 Bi8 S4'
_cell_length_a 4.8183
_cell_length_b 4.8183
_cell_length_c 21.5655
_cell_angle_alpha 90.00
_cell_angle_beta 90.00
_cell_angle_gamma 90.00
_symmetry_space_group_name_H-M 'P 1'
_symmetry_Int_Tables_number 1
loop_
_symmetry_equiv_pos_as_xyz
'x,y,z'
loop_
_atom_site_label
_atom_site_type_symbol
_atom_site_fract_x
_atom_site_fract_y
_atom_site_fract_z
Tl1 Tl 0.0000 0.0000 0.0000
Tl2 Tl 0.0000 0.5000 0.2500
Tl3 Tl 0.5000 0.0000 0.7500
Tl4 Tl 0.5000 0.5000 0.5000
Bi1 Bi 0.1979 0.2500 0.6250
Bi2 Bi 0.2500 0.6979 0.8750
Bi3 Bi 0.2500 0.8021 0.3750
Bi4 Bi 0.3021 0.2500 0.1250
Bi5 Bi 0.6979 0.7500 0.1250
Bi6 Bi 0.7500 0.1979 0.3750
Bi7 Bi 0.7500 0.3021 0.8750
Bi8 Bi 0.8021 0.7500 0.6250
S1 S 0.0000 0.0000 0.5000
S2 S 0.0000 0.5000 0.7500
S3 S 0.5000 0.0000 0.2500
S4 S 0.5000 0.5000 0.0000
```

Most intense lines, 2θ = 10–90°, in order of falling intensity:
| two_theta | intensity |
| --- | --- |
| 27.5 | 100 |
| 41.0 | 61 |
| 36.3 | 49 |
| 33.2 | 31 |
| 64.7 | 30 |
| 22.2 | 27 |
| 66.7 | 21 |
| 50.1 | 20 |
| 42.1 | 16 |
| 61.5 | 16 |


3.
Starting from a PBE-relaxed structure, the powder diffraction line list of NaInRe2 was computed for Cu Kα (weighted mean of Kα1 and Kα2).

Structural model:
```
data_NaInRe2
_chemical_formula_sum 'Na4 In4 Re8'
_cell_length_a 7.9842
_cell_length_b 7.9842
_cell_length_c 5.0150
_cell_angle_alpha 90.00
_cell_angle_beta 90.00
_cell_angle_gamma 90.00
_symmetry_space_group_name_H-M 'P 1'
_symmetry_Int_Tables_number 1
loop_
_symmetry_equiv_pos_as_xyz
'x,y,z'
loop_
_atom_site_label
_atom_site_type_symbol
_atom_site_fract_x
_atom_site_fract_y
_atom_site_fract_z
Na1 Na 0.0000 0.0000 0.0000
Na2 Na 0.0000 0.5000 0.2500
Na3 Na 0.5000 0.0000 0.7500
Na4 Na 0.5000 0.5000 0.5000
In1 In 0.0000 0.0000 0.5000
In2 In 0.0000 0.5000 0.7500
In3 In 0.5000 0.0000 0.2500
In4 In 0.5000 0.5000 0.0000
Re1 Re 0.2137 0.2500 0.6250
Re2 Re 0.2500 0.7137 0.8750
Re3 Re 0.2500 0.7863 0.3750
Re4 Re 0.2863 0.2500 0.1250
Re5 Re 0.7137 0.7500 0.1250
Re6 Re 0.7500 0.2137 0.3750
Re7 Re 0.7500 0.2863 0.8750
Re8 Re 0.7863 0.7500 0.6250
```

Most intense lines, 2θ = 10–90°, in order of falling intensity:
| two_theta | intensity |
| --- | --- |
| 31.7 | 100 |
| 39.3 | 75 |
| 51.4 | 58 |
| 22.3 | 45 |
| 45.4 | 32 |
| 20.9 | 29 |
| 44.7 | 28 |
| 50.5 | 16 |
| 80.3 | 15 |
| 71.0 | 15 |


4.
Starting from a PBE-relaxed structure, the powder diffraction line list of CaRh2F8 was computed for Cu Kα (weighted mean of Kα1 and Kα2).

Structural model:
```
data_CaRh2F8
_chemical_formula_sum 'Ca1 Rh2 F8'
_cell_length_a 6.9828
_cell_length_b 6.9828
_cell_length_c 4.1334
_cell_angle_alpha 90.00
_cell_angle_beta 90.00
_cell_angle_gamma 120.00
_symmetry_space_group_name_H-M 'P 1'
_symmetry_Int_Tables_number 1
loop_
_symmetry_equiv_pos_as_xyz
'x,y,z'
loop_
_atom_site_label
_atom_site_type_symbol
_atom_site_fract_x
_atom_site_fract_y
_atom_site_fract_z
Ca1 Ca 0.0000 0.0000 0.0000
Rh1 Rh 0.3333 0.6667 0.2577
Rh2 Rh 0.6667 0.3333 0.7423
F1 F 0.1659 0.3341 0.2583
F2 F 0.1682 0.8341 0.2583
F3 F 0.3333 0.6667 0.7578
F4 F 0.3341 0.1682 0.7417
F5 F 0.6659 0.8318 0.2583
F6 F 0.6667 0.3333 0.2422
F7 F 0.8318 0.1659 0.7417
F8 F 0.8341 0.6659 0.7417
```

Most intense lines, 2θ = 10–90°, in order of falling intensity:
| two_theta | intensity |
| --- | --- |
| 26.1 | 100 |
| 25.5 | 96 |
| 45.3 | 43 |
| 52.4 | 31 |
| 29.5 | 21 |
| 14.6 | 21 |
| 45.0 | 20 |
| 59.5 | 19 |
| 53.7 | 17 |
| 70.6 | 14 |